1.
Computed PXRD pattern of Sr2Ni2H5 for λ = 1.5418 Å (Cu Kα), from a crystal structure in Alexandria, relaxed with PBE.

The 12 most intense peaks (10 to 90 degrees two-theta), by angle:
| hkl | Position (°2θ) | d_spacing | I_rel |
| --- | --- | --- | --- |
| 1 0 0 | 24.7 | 3.608 | 2 |
| 1 0 2 | 34.1 | 2.631 | 100 |
| 1 1 0 | 35.2 | 2.551 | 46 |
| 0 0 4 | 47.3 | 1.923 | 10 |
| 2 0 0 | 50.6 | 1.804 | 17 |
| 1 1 4 | 60.3 | 1.535 | 17 |
| 2 1 2 | 62.4 | 1.488 | 33 |
| 2 0 4 | 71.7 | 1.316 | 11 |
| 2 2 0 | 74.4 | 1.276 | 5 |
| 1 0 6 | 79.3 | 1.208 | 7 |
| 3 0 2 | 84.4 | 1.148 | 7 |
| 3 1 0 | 85.0 | 1.141 | 7 |

Crystal structure
```
data_Sr2Ni2H5
_cell_length_a 3.6077
_cell_length_b 3.6077
_cell_length_c 7.6912
_cell_angle_alpha 90.00
_cell_angle_beta 90.00
_cell_angle_gamma 90.00
_space_group_name_H-M_alt 'P 4/m m m'
_space_group_IT_number 123
_space_group_name_Hall '-P 4 2'
loop_
_atom_site_label
_atom_site_fract_x
_atom_site_fract_y
_atom_site_fract_z
Sr1 0.0000 0.0000 0.0000
Sr2 0.0000 0.0000 0.5000
Ni1 0.5000 0.5000 0.2351
H1 0.0000 0.5000 0.2513
H2 0.5000 0.5000 0.0000
```

---

2.
Computed PXRD pattern of Sr3Mg3In2 for λ = 1.5418 Å (Cu Kα), from a crystal structure in Alexandria, relaxed with PBE.

The 12 most intense peaks (10 to 90 degrees two-theta), by angle:
| hkl | Position (°2θ) | d_spacing | I_rel |
| --- | --- | --- | --- |
| 0 4 0 | 20.1 | 4.413 | 45 |
| 1 3 1 | 22.5 | 3.952 | 52 |
| 2 3 0 | 24.5 | 3.639 | 28 |
| 2 4 0 | 27.9 | 3.194 | 53 |
| 1 1 2 | 29.5 | 3.031 | 90 |
| 0 6 0 | 30.4 | 2.942 | 52 |
| 2 4 1 | 31.2 | 2.869 | 100 |
| 3 0 1 | 32.1 | 2.790 | 48 |
| 1 3 2 | 32.8 | 2.726 | 92 |
| 1 4 2 | 35.6 | 2.523 | 81 |
| 1 7 2 | 46.6 | 1.950 | 50 |
| 2 4 3 | 50.8 | 1.798 | 26 |

Crystal structure
```
data_Sr3Mg3In2
_cell_length_a 9.2599
_cell_length_b 17.6515
_cell_length_c 6.5240
_cell_angle_alpha 90.00
_cell_angle_beta 90.00
_cell_angle_gamma 90.00
_space_group_name_H-M_alt 'P n m a'
_space_group_IT_number 62
loop_
_space_group_symop_operation_xyz
'x,y,z'
'-x,-y,-z'
'-x+1/2,-y,z+1/2'
'x+1/2,y,-z+1/2'
'x+1/2,-y+1/2,-z+1/2'
'-x+1/2,y+1/2,z+1/2'
'-x,y+1/2,-z'
'x,-y+1/2,z'
loop_
_atom_site_label
_atom_site_fract_x
_atom_site_fract_y
_atom_site_fract_z
Sr1 0.0402 0.1075 0.1204
Sr2 0.1688 0.2500 0.6357
Mg1 0.1710 0.7500 0.6277
Mg2 0.1783 0.0346 0.6091
In1 0.1113 0.6082 0.3775
```

---

3.
Computed PXRD pattern of TmSc4Co for λ = 1.5418 Å (Cu Kα), from a crystal structure in Alexandria, relaxed with PBE.

The 12 most intense peaks (10 to 90 degrees two-theta), by angle:
| hkl | Position (°2θ) | d_spacing | I_rel |
| --- | --- | --- | --- |
| 0 1 1 | 15.7 | 5.632 | 25 |
| 0 0 2 | 21.1 | 4.210 | 40 |
| 1 1 0 | 23.1 | 3.851 | 70 |
| 1 1 2 | 25.8 | 3.454 | 58 |
| 0 1 3 | 30.5 | 2.934 | 55 |
| 2 0 0 | 32.5 | 2.754 | 33 |
| 2 0 1 | 32.8 | 2.730 | 100 |
| 1 2 1 | 34.1 | 2.627 | 99 |
| 1 2 2 | 35.1 | 2.555 | 23 |
| 1 1 -2 | 36.4 | 2.470 | 98 |
| 1 -1 3 | 41.7 | 2.166 | 36 |
| 0 3 4 | 53.4 | 1.715 | 26 |

Crystal structure
```
data_TmSc4Co
_cell_length_a 5.5611
_cell_length_b 5.9763
_cell_length_c 9.0075
_cell_angle_alpha 70.67
_cell_angle_beta 82.55
_cell_angle_gamma 89.99
_space_group_name_H-M_alt 'P -1'
_space_group_IT_number 2
loop_
_space_group_symop_operation_xyz
'x,y,z'
'-x,-y,-z'
loop_
_atom_site_label
_atom_site_fract_x
_atom_site_fract_y
_atom_site_fract_z
Tm1 0.2500 0.1694 0.9999
Sc1 0.1681 0.9368 0.3788
Sc2 0.2138 0.5326 0.2187
Sc3 0.2861 0.7514 0.7812
Sc4 0.3319 0.3156 0.6210
Co1 0.0000 0.5000 0.5000
Co2 0.5000 0.0000 0.5000
```

---

4.
Computed PXRD pattern of Mg2BH6 for λ = 1.5418 Å (Cu Kα), from a crystal structure in Alexandria, relaxed with PBE.

The 12 most intense peaks (10 to 90 degrees two-theta), by angle:
| hkl | Position (°2θ) | d_spacing | I_rel |
| --- | --- | --- | --- |
| 1 0 -2 | 25.8 | 3.449 | 39 |
| 1 1 -1 | 26.5 | 3.362 | 65 |
| 0 0 2 | 29.3 | 3.047 | 59 |
| 1 1 0 | 30.1 | 2.968 | 75 |
| 1 1 -2 | 30.6 | 2.921 | 64 |
| 0 2 1 | 35.9 | 2.503 | 100 |
| 1 1 1 | 39.5 | 2.279 | 59 |
| 1 1 -3 | 40.3 | 2.237 | 50 |
| 2 0 -2 | 42.5 | 2.127 | 34 |
| 2 0 -4 | 53.1 | 1.724 | 21 |
| 0 2 3 | 56.3 | 1.633 | 26 |
| 2 2 -1 | 56.5 | 1.628 | 25 |

Crystal structure
```
data_Mg2BH6
_cell_length_a 4.2545
_cell_length_b 5.4897
_cell_length_c 7.3495
_cell_angle_alpha 90.00
_cell_angle_beta 123.99
_cell_angle_gamma 90.00
_space_group_name_H-M_alt 'P 1 21/c 1'
_space_group_IT_number 14
loop_
_space_group_symop_operation_xyz
'x,y,z'
'-x,-y,-z'
'-x,y+1/2,-z+1/2'
'x,-y+1/2,z+1/2'
loop_
_atom_site_label
_atom_site_fract_x
_atom_site_fract_y
_atom_site_fract_z
Mg1 0.2255 0.1161 0.2648
B1 0.5000 0.0000 0.0000
H1 0.1414 0.1381 0.9436
H2 0.3238 0.7303 0.4386
H3 0.3943 0.0355 0.7751
```

---

5.
Computed PXRD pattern of Pd5PbAu2 for λ = 1.5418 Å (Cu Kα), from a crystal structure in Alexandria, relaxed with PBE.

The 12 most intense peaks (10 to 90 degrees two-theta), by angle:
| hkl | Position (°2θ) | d_spacing | I_rel |
| --- | --- | --- | --- |
| 2 0 0 | 26.8 | 3.331 | 8 |
| 1 1 3 | 28.8 | 3.095 | 4 |
| 0 0 4 | 29.0 | 3.080 | 3 |
| 2 2 0 | 38.2 | 2.355 | 57 |
| 2 0 4 | 39.9 | 2.261 | 100 |
| 2 2 4 | 48.7 | 1.871 | 3 |
| 4 0 0 | 55.2 | 1.665 | 20 |
| 0 0 8 | 60.1 | 1.540 | 7 |
| 4 2 4 | 70.2 | 1.341 | 38 |
| 2 2 8 | 73.5 | 1.289 | 16 |
| 4 4 0 | 81.8 | 1.178 | 6 |
| 4 0 8 | 86.0 | 1.131 | 11 |

Crystal structure
```
data_Pd5PbAu2
_cell_length_a 6.6561
_cell_length_b 6.6668
_cell_length_c 12.3182
_cell_angle_alpha 90.00
_cell_angle_beta 90.00
_cell_angle_gamma 90.00
_space_group_name_H-M_alt 'F m m m'
_space_group_IT_number 69
_space_group_name_Hall '-F 2 2'
loop_
_atom_site_label
_atom_site_fract_x
_atom_site_fract_y
_atom_site_fract_z
Pd1 0.0000 0.0000 0.0000
Pd2 0.2500 0.2500 0.1243
Pb1 0.0000 0.0000 0.5000
Au1 0.0000 0.0000 0.2434
```

---

6.
Computed PXRD pattern of Er2Al6Ag9 for λ = 1.5418 Å (Cu Kα), from a crystal structure in Alexandria, relaxed with PBE.

The 12 most intense peaks (10 to 90 degrees two-theta), by angle:
| hkl | Position (°2θ) | d_spacing | I_rel |
| --- | --- | --- | --- |
| 1 0 1 | 19.5 | 4.564 | 18 |
| 0 0 3 | 20.8 | 4.261 | 24 |
| 1 0 3 | 27.8 | 3.211 | 91 |
| 2 0 0 | 36.8 | 2.443 | 100 |
| 1 1 3 | 38.3 | 2.352 | 77 |
| 0 0 6 | 42.4 | 2.130 | 31 |
| 2 0 3 | 42.7 | 2.119 | 51 |
| 2 1 3 | 54.1 | 1.694 | 28 |
| 2 0 6 | 57.4 | 1.606 | 52 |
| 3 0 3 | 60.9 | 1.521 | 19 |
| 2 2 0 | 66.3 | 1.410 | 24 |
| 2 2 6 | 81.9 | 1.176 | 26 |

Crystal structure
```
data_Er2Al6Ag9
_cell_length_a 5.6417
_cell_length_b 5.6417
_cell_length_c 12.7817
_cell_angle_alpha 90.00
_cell_angle_beta 90.00
_cell_angle_gamma 120.00
_space_group_name_H-M_alt 'P 6/m m m'
_space_group_IT_number 191
_space_group_name_Hall '-P 6 2'
loop_
_atom_site_label
_atom_site_fract_x
_atom_site_fract_y
_atom_site_fract_z
Er1 0.0000 0.0000 0.1630
Al1 0.3333 0.6667 0.1647
Al2 0.3333 0.6667 0.5000
Ag1 0.0000 0.5000 0.0000
Ag2 0.0000 0.5000 0.3317
```